Entry 1:
Starting from DFT lattice parameters and positions (GGA-PBE), the XRD peak list of BaDy2CuS4 was calculated for Cu Kα X-rays.
Kinematic intensities with the Lorentz-polarization factor, no thermal factor.

Most intense lines, 2θ = 10–80°, low angle first:
two_theta, d [Å], I/Imax
23.7, 3.761, 66
26.7, 3.344, 100
30.7, 2.911, 44
32.8, 2.730, 81
40.6, 2.222, 31
45.4, 1.999, 48

Structural model:
```
16
Lattice="1.9992 -6.7017 0.0000 1.9992 6.7017 0.0000 0.0000 0.0000 13.6314" Properties=species:S:1:pos:R:3 pbc="T T T"
Ba 1.9992 5.1805 10.2236
Ba 1.9992 -5.1805 3.4079
Dy 1.9992 1.7210 7.5913
Dy 1.9992 1.7210 12.8558
Dy 1.9992 -1.7210 0.7756
Dy 1.9992 -1.7210 6.0401
Cu 1.9992 4.6009 3.4079
Cu 1.9992 -4.6009 10.2236
S 0.0000 0.0000 0.0000
S 0.0000 0.0000 6.8157
S 1.9992 3.1488 1.5607
S 1.9992 3.1488 5.2550
S 1.9992 0.8993 10.2236
S 1.9992 -0.8993 3.4079
S 1.9992 -3.1488 8.3764
S 1.9992 -3.1488 12.0707
```


Entry 2:
Starting from DFT lattice parameters and positions (GGA-PBE), the XRD peak list of La2Zn6In3 was calculated for Cu Kα X-rays.
Kinematic intensities with the Lorentz-polarization factor, no thermal factor.

Most intense lines, 2θ = 10–80°, low angle first:
two_theta, d [Å], I/Imax
23.5, 3.781, 13
31.2, 2.868, 100
33.0, 2.712, 12
34.3, 2.615, 12
35.6, 2.521, 15
41.0, 2.200, 27

Structural model:
```
11
Lattice="5.2307 -5.4714 0.0000 5.2307 5.4714 0.0000 0.0000 0.0000 4.4000" Properties=species:S:1:pos:R:3 pbc="T T T"
La 5.2307 3.0903 0.0000
La 5.2307 -3.0903 0.0000
Zn 1.1610 0.0000 2.2000
Zn 3.1079 1.6781 2.2000
Zn 3.1079 -1.6781 2.2000
Zn 7.3535 1.6781 2.2000
Zn 7.3535 -1.6781 2.2000
Zn 9.3004 0.0000 2.2000
In 2.8627 0.0000 0.0000
In 5.2307 0.0000 2.2000
In 7.5987 0.0000 0.0000
```


Entry 3:
Starting from DFT lattice parameters and positions (GGA-PBE), the XRD peak list of SmEr5Pb6 was calculated for Cu Kα X-rays.
Kinematic intensities with the Lorentz-polarization factor, no thermal factor.

Most intense lines, 2θ = 10–80°, low angle first:
two_theta, d [Å], I/Imax
30.1, 2.968, 52
30.5, 2.927, 100
35.2, 2.550, 34
35.9, 2.505, 66
47.0, 1.934, 31
50.0, 1.822, 26

Structural model:
```
12
Lattice="3.0553 -7.6494 0.0000 3.0553 7.6494 0.0000 -1.8313 0.0000 7.4940" Properties=species:S:1:pos:R:3 pbc="T T T"
Sm 0.0000 0.0000 0.0000
Er -0.9157 0.0000 3.7470
Er 3.0553 2.5922 0.0000
Er 2.1396 2.4795 3.7470
Er 2.1396 -2.4795 3.7470
Er 3.0553 -2.5922 0.0000
Pb 2.5754 5.0625 1.9214
Pb 1.7039 5.0625 5.5726
Pb 1.6134 0.0000 5.6563
Pb 2.6658 0.0000 1.8377
Pb 2.5754 -5.0625 1.9214
Pb 1.7039 -5.0625 5.5726
```


Entry 4:
Starting from DFT lattice parameters and positions (GGA-PBE), the XRD peak list of KU2SO4 was calculated for Cu Kα X-rays.
Kinematic intensities with the Lorentz-polarization factor, no thermal factor.

Most intense lines, 2θ = 10–80°, low angle first:
two_theta, d [Å], I/Imax
18.5, 4.791, 49
23.4, 3.799, 72
30.0, 2.977, 100
33.4, 2.686, 45
36.8, 2.445, 49
44.0, 2.056, 40

Structural model:
```
8
Lattice="3.7988 0.0000 0.0000 0.0000 3.7988 0.0000 0.0000 0.0000 9.5822" Properties=species:S:1:pos:R:3 pbc="T T T"
K 0.0000 0.0000 0.0000
U 1.8994 1.8994 2.9302
U 1.8994 1.8994 6.6521
S 0.0000 0.0000 4.7911
O 0.0000 1.8994 2.0004
O 0.0000 1.8994 7.5819
O 1.8994 0.0000 2.0004
O 1.8994 0.0000 7.5819
```


Entry 5:
Starting from DFT lattice parameters and positions (GGA-PBE), the XRD peak list of Li3BiPd6 was calculated for Cu Kα X-rays.
Kinematic intensities with the Lorentz-polarization factor, no thermal factor.

Most intense lines, 2θ = 10–80°, low angle first:
two_theta, d [Å], I/Imax
19.4, 4.573, 75
29.8, 2.993, 63
33.2, 2.697, 78
38.8, 2.322, 71
40.3, 2.237, 100
40.6, 2.220, 93

Structural model:
```
20
Lattice="6.8203 0.0000 0.0000 0.0000 6.6782 0.0000 -5.8270 0.0000 7.0607" Properties=species:S:1:pos:R:3 pbc="T T T"
Li 0.0000 0.0000 0.0000
Li -2.9135 3.3391 3.5303
Li -1.5663 1.0139 3.9533
Li 1.3472 2.3252 0.4230
Li -0.3539 4.3530 6.6377
Li 2.5596 5.6643 3.1074
Bi 3.4101 0.0000 0.0000
Bi 0.4966 3.3391 3.5303
Pd -4.5994 4.1381 5.6563
Pd -1.6859 5.8791 2.1259
Pd 0.7033 4.7780 1.2848
Pd -2.2102 5.2392 4.8151
Pd 0.6203 0.7423 2.4260
Pd -2.2932 2.5968 5.9563
Pd 3.2865 4.0814 1.1043
Pd 0.3730 5.9358 4.6346
Pd 3.2035 1.4389 2.2455
Pd 0.2900 1.9001 5.7758
Pd 2.6792 0.7991 4.9347
Pd 5.5926 2.5400 1.4044
```


Entry 6:
Starting from DFT lattice parameters and positions (GGA-PBE), the XRD peak list of La12Pr3Nd was calculated for Cu Kα X-rays.
Kinematic intensities with the Lorentz-polarization factor, no thermal factor.

Most intense lines, 2θ = 10–80°, low angle first:
two_theta, d [Å], I/Imax
29.4, 3.035, 100
34.1, 2.628, 51
49.0, 1.858, 36
58.2, 1.585, 43
61.1, 1.517, 13
79.5, 1.206, 18

Structural model:
```
16
Lattice="5.2543 0.0000 0.0000 0.0000 5.2543 0.0000 0.0000 0.0000 21.0446" Properties=species:S:1:pos:R:3 pbc="T T T"
La 0.0000 0.0000 0.0000
La 0.0000 0.0000 5.2688
La 0.0000 0.0000 10.5223
La 0.0000 0.0000 15.7758
La 0.0000 2.6271 2.6351
La 0.0000 2.6271 7.9011
La 0.0000 2.6271 13.1435
La 0.0000 2.6271 18.4095
La 2.6271 0.0000 2.6351
La 2.6271 0.0000 7.9011
La 2.6271 0.0000 13.1435
La 2.6271 0.0000 18.4095
Pr 2.6271 2.6271 0.0000
Pr 2.6271 2.6271 5.2668
Pr 2.6271 2.6271 15.7778
Nd 2.6271 2.6271 10.5223
```


Entry 7:
Starting from DFT lattice parameters and positions (GGA-PBE), the XRD peak list of LiSiBiO4 was calculated for Cu Kα X-rays.
Kinematic intensities with the Lorentz-polarization factor, no thermal factor.

Most intense lines, 2θ = 10–80°, low angle first:
two_theta, d [Å], I/Imax
16.3, 5.433, 88
17.1, 5.174, 70
22.2, 4.013, 54
23.5, 3.784, 53
29.6, 3.021, 54
32.2, 2.779, 100

Structural model:
```
28
Lattice="5.6340 0.0000 0.0000 0.0000 6.3997 0.0000 -4.4327 0.0000 10.2823" Properties=species:S:1:pos:R:3 pbc="T T T"
Li -1.4915 0.8589 4.3954
Li -3.7078 2.3409 9.5365
Li 4.9091 4.0588 0.7457
Li 2.6927 5.5408 5.8869
Si -1.0788 4.1595 3.7026
Si -3.2952 5.4401 8.8438
Si 4.4965 0.9597 1.4385
Si 2.2801 2.2402 6.5796
Bi -0.3697 3.9330 6.6927
Bi 1.8466 5.6666 1.5516
Bi -0.6454 0.7331 8.7307
Bi 1.5710 2.4668 3.5896
O -3.3436 4.2530 9.9815
O -1.1273 5.3466 4.8403
O -2.9529 0.4351 9.7169
O -0.7365 2.7648 4.5757
O 0.2764 0.8574 2.2782
O -1.9400 2.3425 7.4193
O 0.1705 4.2187 2.6101
O -2.0458 5.3809 7.7513
O 3.2471 1.0188 2.5310
O 1.0308 2.1811 7.6721
O 3.1413 4.0572 2.8630
O 0.9249 5.5424 8.0041
O 1.9378 3.6349 5.7065
O 4.1541 5.9647 0.5654
O 2.3285 1.0531 5.4419
O 4.5449 2.1468 0.3008
```


Entry 8:
Starting from DFT lattice parameters and positions (GGA-PBE), the XRD peak list of Ce2Al2Au5 was calculated for Cu Kα X-rays.
Kinematic intensities with the Lorentz-polarization factor, no thermal factor.

Most intense lines, 2θ = 10–80°, low angle first:
two_theta, d [Å], I/Imax
10.3, 8.624, 14
33.9, 2.647, 100
37.9, 2.371, 42
54.7, 1.677, 15
57.8, 1.595, 20
65.9, 1.417, 30

Structural model:
```
9
Lattice="4.7428 0.0000 0.0000 0.0000 4.7428 0.0000 0.0000 0.0000 8.6238" Properties=species:S:1:pos:R:3 pbc="T T T"
Ce 0.0000 0.0000 0.0000
Ce 0.0000 0.0000 4.3119
Al 2.3714 2.3714 1.3189
Al 2.3714 2.3714 7.3048
Au 0.0000 2.3714 2.2868
Au 0.0000 2.3714 6.3370
Au 2.3714 0.0000 2.2868
Au 2.3714 0.0000 6.3370
Au 2.3714 2.3714 4.3119
```